Entry 1:
For Cs2RbTlCl6, a crystal structure in the Materials Project, relaxed with GGA-PBE gives the calculated XRD peak list in this record (λ = 1.5418 Å (Cu Kα)).
Peak positions follow from Bragg's law for the DFT cell and can differ from measured ones.

Peak list (10 most intense, 2θ from 10° to 90°, by intensity)
| two_theta | I/Imax |
| --- | --- |
| 21.87 | 100 |
| 31.13 | 52 |
| 38.37 | 46 |
| 44.60 | 36 |
| 60.26 | 27 |
| 50.20 | 24 |
| 13.34 | 18 |
| 86.32 | 15 |
| 73.73 | 15 |
| 69.38 | 13 |

Crystal structure
Lattice parameters (Å, degrees): 8.1273 8.1273 8.1273 60.00 60.00 60.00
Fractional positions:
Cs 0.2500 0.2500 0.2500
Cs 0.7500 0.7500 0.7500
Rb 0.0000 0.0000 0.0000
Tl 0.5000 0.5000 0.5000
Cl 0.2718 0.2718 0.7282
Cl 0.2718 0.7282 0.2718
Cl 0.2718 0.7282 0.7282
Cl 0.7282 0.2718 0.2718
Cl 0.7282 0.2718 0.7282
Cl 0.7282 0.7282 0.2718


Entry 2:
For CsRb2TmCl6, a crystal structure in the Materials Project, relaxed with GGA-PBE gives the calculated XRD peak list in this record (λ = 1.5418 Å (Cu Kα)).
Peak positions follow from Bragg's law for the DFT cell and can differ from measured ones.

Peak list (10 most intense, 2θ from 10° to 90°, by intensity)
| two_theta | I/Imax |
| --- | --- |
| 21.43 | 100 |
| 30.50 | 57 |
| 37.58 | 44 |
| 43.67 | 39 |
| 15.11 | 29 |
| 58.95 | 28 |
| 49.14 | 26 |
| 84.21 | 15 |
| 72.04 | 15 |
| 54.20 | 13 |

Crystal structure
Lattice parameters (Å, degrees): 8.2912 8.2912 8.2912 60.00 60.00 60.00
Fractional positions:
Cs 0.0000 0.0000 0.0000
Rb 0.2500 0.2500 0.2500
Rb 0.7500 0.7500 0.7500
Tm 0.5000 0.5000 0.5000
Cl 0.2781 0.2781 0.7219
Cl 0.2781 0.7219 0.2781
Cl 0.2781 0.7219 0.7219
Cl 0.7219 0.2781 0.2781
Cl 0.7219 0.2781 0.7219
Cl 0.7219 0.7219 0.2781


Entry 3:
For CsReCl4, a crystal structure in the Materials Project, relaxed with GGA-PBE gives the calculated XRD peak list in this record (λ = 1.5418 Å (Cu Kα)).
Peak positions follow from Bragg's law for the DFT cell and can differ from measured ones.

Peak list (10 most intense, 2θ from 10° to 90°, by intensity)
| two_theta | I/Imax |
| --- | --- |
| 11.85 | 100 |
| 12.29 | 64 |
| 21.13 | 47 |
| 17.40 | 40 |
| 38.27 | 23 |
| 19.20 | 18 |
| 18.37 | 17 |
| 43.30 | 17 |
| 32.80 | 14 |
| 31.35 | 14 |

Crystal structure
Lattice parameters (Å, degrees): 10.9682 10.1930 10.1930 90.35 90.00 90.00
Fractional positions:
Cs 0.0000 0.0000 0.0000
Cs 0.2500 0.4412 0.8022
Cs 0.2500 0.4826 0.2981
Cs 0.5000 0.0000 0.0000
Cs 0.7500 0.2981 0.4826
Cs 0.7500 0.8022 0.4412
Re 0.1371 0.0128 0.4473
Re 0.2500 0.9198 0.6349
Re 0.3629 0.0128 0.4473
Re 0.6371 0.4473 0.0128
Re 0.7500 0.6349 0.9198
Re 0.8629 0.4473 0.0128
Cl 0.0282 0.9221 0.6335
Cl 0.0709 0.3350 0.0647
Cl 0.1016 0.2260 0.5257
Cl 0.1024 0.8207 0.3284
Cl 0.2500 0.1023 0.7744
Cl 0.2500 0.1033 0.2633
Cl 0.2500 0.6991 0.5727
Cl 0.2500 0.8079 0.8650
Cl 0.3984 0.2260 0.5257
Cl 0.3976 0.8207 0.3284
Cl 0.4291 0.3350 0.0647
Cl 0.4718 0.9221 0.6335
Cl 0.5282 0.6335 0.9221
Cl 0.5709 0.0647 0.3350
Cl 0.6024 0.3284 0.8207
Cl 0.6016 0.5257 0.2260
Cl 0.7500 0.2633 0.1033
Cl 0.7500 0.5727 0.6991
Cl 0.7500 0.7744 0.1023
Cl 0.7500 0.8650 0.8079
Cl 0.8976 0.3284 0.8207
Cl 0.8984 0.5257 0.2260
Cl 0.9291 0.0647 0.3350
Cl 0.9718 0.6335 0.9221


Entry 4:
For Cs3Re6S8Cl6, a crystal structure in the Materials Project, relaxed with GGA-PBE gives the calculated XRD peak list in this record (λ = 1.5418 Å (Cu Kα)).
Peak positions follow from Bragg's law for the DFT cell and can differ from measured ones.

Peak list (10 most intense, 2θ from 10° to 90°, by intensity)
| two_theta | I/Imax |
| --- | --- |
| 10.65 | 100 |
| 12.81 | 42 |
| 16.81 | 41 |
| 16.52 | 18 |
| 39.97 | 14 |
| 46.05 | 13 |
| 13.55 | 13 |
| 22.70 | 12 |
| 16.13 | 10 |
| 39.32 | 10 |

Crystal structure
Lattice parameters (Å, degrees): 9.3463 13.0653 11.2543 90.00 107.03 90.00
Fractional positions:
Cs 0.0000 0.0000 0.0000
Cs 0.0000 0.5000 0.5000
Cs 0.4766 0.2408 0.8645
Cs 0.4766 0.2592 0.3645
Cs 0.5234 0.7408 0.6355
Cs 0.5234 0.7592 0.1355
Re 0.1034 0.1253 0.5261
Re 0.1034 0.3747 0.0261
Re 0.1166 0.5438 0.9003
Re 0.1166 0.9562 0.4003
Re 0.1373 0.5530 0.1366
Re 0.1373 0.9470 0.6366
Re 0.8627 0.0530 0.3634
Re 0.8627 0.4470 0.8634
Re 0.8834 0.0438 0.5997
Re 0.8834 0.4562 0.0997
Re 0.8966 0.6253 0.9739
Re 0.8966 0.8747 0.4739
S 0.0738 0.1254 0.3060
S 0.0738 0.3746 0.8060
S 0.1132 0.1079 0.7415
S 0.1132 0.3921 0.2415
S 0.1374 0.7058 0.0096
S 0.1374 0.7942 0.5096
S 0.3293 0.0260 0.5571
S 0.3293 0.4740 0.0571
S 0.6707 0.5260 0.9429
S 0.6707 0.9740 0.4429
S 0.8626 0.2058 0.4904
S 0.8626 0.2942 0.9904
S 0.8868 0.6079 0.7585
S 0.8868 0.8921 0.2585
S 0.9262 0.6254 0.1940
S 0.9262 0.8746 0.6940
Cl 0.2450 0.2129 0.0620
Cl 0.2450 0.2871 0.5620
Cl 0.2707 0.5952 0.7690
Cl 0.2707 0.9048 0.2690
Cl 0.3256 0.6144 0.3231
Cl 0.3256 0.8856 0.8231
Cl 0.6744 0.1144 0.1769
Cl 0.6744 0.3856 0.6769
Cl 0.7293 0.0952 0.7310
Cl 0.7293 0.4048 0.2310
Cl 0.7550 0.7129 0.4380
Cl 0.7550 0.7871 0.9380


Entry 5:
For Cs3Ru2Cl9, a crystal structure in the Materials Project, relaxed with GGA-PBE gives the calculated XRD peak list in this record (λ = 1.5418 Å (Cu Kα)).
Peak positions follow from Bragg's law for the DFT cell and can differ from measured ones.

Peak list (10 most intense, 2θ from 10° to 90°, by intensity)
| two_theta | I/Imax |
| --- | --- |
| 23.70 | 100 |
| 31.30 | 71 |
| 34.04 | 45 |
| 48.51 | 42 |
| 28.36 | 42 |
| 14.49 | 42 |
| 29.21 | 40 |
| 20.15 | 39 |
| 44.66 | 30 |
| 13.62 | 27 |

Crystal structure
Lattice parameters (Å, degrees): 7.5072 7.5072 17.9811 90.00 90.00 120.00
Fractional positions:
Cs 0.0000 0.0000 0.2500
Cs 0.0000 0.0000 0.7500
Cs 0.3333 0.6667 0.0716
Cs 0.3333 0.6667 0.4284
Cs 0.6667 0.3333 0.5716
Cs 0.6667 0.3333 0.9284
Ru 0.3333 0.6667 0.6757
Ru 0.3333 0.6667 0.8243
Ru 0.6667 0.3333 0.1757
Ru 0.6667 0.3333 0.3243
Cl 0.0256 0.5128 0.7500
Cl 0.1853 0.3706 0.5993
Cl 0.1853 0.3706 0.9007
Cl 0.1853 0.8147 0.5993
Cl 0.1853 0.8147 0.9007
Cl 0.3706 0.1853 0.0993
Cl 0.3706 0.1853 0.4007
Cl 0.4872 0.5128 0.7500
Cl 0.4872 0.9744 0.7500
Cl 0.5128 0.0256 0.2500
Cl 0.5128 0.4872 0.2500
Cl 0.6294 0.8147 0.5993
Cl 0.6294 0.8147 0.9007
Cl 0.8147 0.1853 0.0993
Cl 0.8147 0.1853 0.4007
Cl 0.8147 0.6294 0.0993
Cl 0.8147 0.6294 0.4007
Cl 0.9744 0.4872 0.2500


Entry 6:
For CsSbCl6, a crystal structure in the Materials Project, relaxed with GGA-PBE gives the calculated XRD peak list in this record (λ = 1.5418 Å (Cu Kα)).
Peak positions follow from Bragg's law for the DFT cell and can differ from measured ones.

Peak list (10 most intense, 2θ from 10° to 90°, by intensity)
| two_theta | I/Imax |
| --- | --- |
| 17.11 | 100 |
| 17.67 | 61 |
| 30.11 | 50 |
| 30.65 | 37 |
| 24.60 | 37 |
| 31.15 | 36 |
| 22.11 | 35 |
| 24.79 | 27 |
| 39.80 | 23 |
| 40.58 | 23 |

Crystal structure
Lattice parameters (Å, degrees): 7.2370 7.2370 12.9338 101.12 101.12 55.82
Fractional positions:
Cs 0.1215 0.8785 0.7500
Cs 0.8785 0.1215 0.2500
Sb 0.0000 0.5000 0.0000
Sb 0.5000 0.0000 0.5000
Cl 0.1181 0.1990 0.5411
Cl 0.1964 0.3708 0.8455
Cl 0.1990 0.1181 0.0411
Cl 0.2880 0.5449 0.1058
Cl 0.3708 0.1964 0.3455
Cl 0.4551 0.7120 0.3942
Cl 0.5449 0.2880 0.6058
Cl 0.6292 0.8036 0.6545
Cl 0.7120 0.4551 0.8942
Cl 0.8010 0.8819 0.9589
Cl 0.8036 0.6292 0.1545
Cl 0.8819 0.8010 0.4589


Entry 7:
For Cs3ScCl6, a crystal structure in the Materials Project, relaxed with GGA-PBE gives the calculated XRD peak list in this record (λ = 1.5418 Å (Cu Kα)).
Peak positions follow from Bragg's law for the DFT cell and can differ from measured ones.

Peak list (10 most intense, 2θ from 10° to 90°, by intensity)
| two_theta | I/Imax |
| --- | --- |
| 22.94 | 100 |
| 31.16 | 71 |
| 22.08 | 62 |
| 22.43 | 39 |
| 21.30 | 34 |
| 34.14 | 32 |
| 30.01 | 30 |
| 29.56 | 30 |
| 20.14 | 29 |
| 46.87 | 26 |

Crystal structure
Lattice parameters (Å, degrees): 13.9740 13.9740 13.1338 99.55 99.55 34.73
Fractional positions:
Cs 0.0273 0.6461 0.1986
Cs 0.1611 0.5326 0.8556
Cs 0.1959 0.7028 0.5653
Cs 0.2972 0.8041 0.9347
Cs 0.3539 0.9727 0.3014
Cs 0.4674 0.8389 0.6444
Cs 0.5326 0.1611 0.3556
Cs 0.6461 0.0273 0.6986
Cs 0.7028 0.1959 0.0653
Cs 0.8041 0.2972 0.4347
Cs 0.8389 0.4674 0.1444
Cs 0.9727 0.3539 0.8014
Sc 0.0000 0.5000 0.5000
Sc 0.2218 0.7782 0.2500
Sc 0.5000 0.0000 0.0000
Sc 0.7782 0.2218 0.7500
Cl 0.0533 0.0542 0.1918
Cl 0.0542 0.0533 0.6918
Cl 0.1284 0.3712 0.3261
Cl 0.1366 0.2334 0.5362
Cl 0.1672 0.7221 0.0763
Cl 0.2334 0.1366 0.0362
Cl 0.2548 0.3906 0.5769
Cl 0.2779 0.8328 0.4237
Cl 0.3712 0.1284 0.8261
Cl 0.3820 0.5099 0.3129
Cl 0.3906 0.2548 0.0769
Cl 0.4901 0.6180 0.1871
Cl 0.5099 0.3820 0.8129
Cl 0.6094 0.7452 0.9231
Cl 0.6180 0.4901 0.6871
Cl 0.6288 0.8716 0.1739
Cl 0.7221 0.1672 0.5763
Cl 0.7452 0.6094 0.4231
Cl 0.7666 0.8634 0.9638
Cl 0.8328 0.2779 0.9237
Cl 0.8634 0.7666 0.4638
Cl 0.8716 0.6288 0.6739
Cl 0.9458 0.9467 0.3082
Cl 0.9467 0.9458 0.8082


Entry 8:
For Cs3ScCl6, a crystal structure in the Materials Project, relaxed with GGA-PBE gives the calculated XRD peak list in this record (λ = 1.5418 Å (Cu Kα)).
Peak positions follow from Bragg's law for the DFT cell and can differ from measured ones.

Peak list (10 most intense, 2θ from 10° to 90°, by intensity)
| two_theta | I/Imax |
| --- | --- |
| 21.74 | 100 |
| 30.93 | 58 |
| 38.12 | 41 |
| 44.31 | 38 |
| 59.85 | 28 |
| 49.87 | 27 |
| 26.70 | 24 |
| 85.66 | 15 |
| 73.20 | 14 |
| 55.01 | 12 |

Crystal structure
Lattice parameters (Å, degrees): 8.1776 8.1776 8.1776 60.00 60.00 60.00
Fractional positions:
Cs 0.0000 0.0000 0.0000
Cs 0.2500 0.2500 0.2500
Cs 0.7500 0.7500 0.7500
Sc 0.5000 0.5000 0.5000
Cl 0.2835 0.2835 0.7165
Cl 0.2835 0.7165 0.2835
Cl 0.2835 0.7165 0.7165
Cl 0.7165 0.2835 0.2835
Cl 0.7165 0.2835 0.7165
Cl 0.7165 0.7165 0.2835


What is the formula in the sixth record? CsSbCl6